Starting from DFT lattice parameters and positions (GGA-PBE), the X-ray diffraction stick pattern of TaMo2W5 was simulated for copper Kα.
Peak positions follow from Bragg's law for the DFT cell and can differ from measured ones.

abc: 6.389 6.389 6.395
angles: 90.00 90.00 90.00
Space group I4/mmm (No. 139)
Unique sites:
1 Ta 0.000 0.000 0.000
2 Mo 0.000 0.500 0.000
3 W 0.000 0.000 0.500
4 W 0.250 0.250 0.250

Principal peaks in the range 15° ≤ 2θ ≤ 90°, by angle:
- hkl 1 1 0, d 4.518, I = 3
- hkl 2 0 0, d 3.196, I = 2
- hkl 1 1 2, d 2.610, I = 2
- hkl 2 2 0, d 2.260, I = 100
- hkl 3 1 0, d 2.020, I = 1
- hkl 2 2 2, d 1.845, I = 1
- hkl 3 1 2, d 1.708, I = 1
- hkl 4 0 0, d 1.598, I = 17
- hkl 4 2 0, d 1.429, I = 1
- hkl 4 2 2, d 1.305, I = 35
- hkl 5 1 0, d 1.254, I = 1
- hkl 4 4 0, d 1.130, I = 11